The following is a computed XRD peak list of Mg2Fe2O5. It was derived from a crystal structure in the Materials Project, relaxed with PBE+U, using copper Kα.
Neutral-atom scattering factors, no anomalous dispersion.

```
data_Mg2Fe2O5
_chemical_formula_sum 'Mg4 Fe4 O10'
_cell_length_a 5.610
_cell_length_b 10.602
_cell_length_c 3.536
_cell_angle_alpha 90.00
_cell_angle_beta 90.00
_cell_angle_gamma 90.00
_symmetry_space_group_name_H-M 'P b a m'
_symmetry_Int_Tables_number 55
loop_
_symmetry_equiv_pos_as_xyz
'x,y,z'
'-x,-y,-z'
'-x,-y,z'
'x,y,-z'
'x+1/2,-y+1/2,-z'
'-x+1/2,y+1/2,z'
'-x+1/2,y+1/2,-z'
'x+1/2,-y+1/2,z'
loop_
_atom_site_label
_atom_site_type_symbol
_atom_site_fract_x
_atom_site_fract_y
_atom_site_fract_z
Mg1 Mg 0.209 0.098 0.000
Fe1 Fe 0.240 0.360 0.500
O1 O 0.000 0.500 0.500
O2 O 0.140 0.191 0.500
O3 O 0.166 0.910 0.000
```

Principal peaks in the range 2θ from 5° to 70°, sorted by position:
| hkl | d/Å | 2θ (°) | I/Imax |
| --- | --- | --- | --- |
| 1 2 0 | 3.853 | 23.1 | 62 |
| 0 0 1 | 3.536 | 25.2 | 29 |
| 2 0 0 | 2.805 | 31.9 | 61 |
| 0 4 0 | 2.650 | 33.8 | 43 |
| 1 2 1 | 2.605 | 34.4 | 100 |
| 2 4 0 | 1.926 | 47.2 | 39 |
| 0 0 2 | 1.768 | 51.7 | 31 |
| 0 6 1 | 1.581 | 58.4 | 19 |
| 3 2 1 | 1.578 | 58.5 | 34 |
| 1 6 1 | 1.521 | 60.9 | 23 |